No. 1
For In6Sn3Pb2, the GGA-PBE geometry in Alexandria gives the simulated powder diffraction line list in this record (Cu Kα).

Top 6 peaks for 15 to 90 degrees two-theta, by angle:
d/Å  I_rel  (hkl)
3.246  84  1 1 1
2.999  67  2 0 1
2.958  74  2 1 0
2.499  100  2 1 1
2.333  39  0 0 2
1.832  37  2 1 2

Structural model:
```
data_In6Sn3Pb2
_space_group_name_H-M_alt 'P -6 2 m'
_space_group_IT_number 189
_space_group_name_Hall 'P -6 -2'
_cell_length_a 9.0378
_cell_length_b 9.0378
_cell_length_c 4.6665
_cell_angle_alpha 90.00
_cell_angle_beta 90.00
_cell_angle_gamma 120.00
loop_
_atom_site_label
_atom_site_fract_x
_atom_site_fract_y
_atom_site_fract_z
In1 0.0000 0.2160 0.0000
In2 0.0000 0.7569 0.5000
Sn1 0.0000 0.5407 0.0000
Pb1 0.3333 0.6667 0.5000
```

=====

No. 2
For Ac8Se8N3, the GGA-PBE geometry in Alexandria gives the simulated powder diffraction line list in this record (Cu Kα).

Top 6 peaks for 15 to 90 degrees two-theta, by angle:
d/Å  I_rel  (hkl)
5.222  29  1 1 -1
4.555  31  2 0 -2
3.186  100  0 2 0
3.047  35  4 0 2
2.877  33  8 0 -1
2.202  33  4 2 2

Structural model:
```
data_Ac8Se8N3
_space_group_name_H-M_alt 'C 1 2/m 1'
_space_group_IT_number 12
_space_group_name_Hall '-C 2y'
_cell_length_a 23.026
_cell_length_b 6.372
_cell_length_c 9.176
_cell_angle_alpha 90.00
_cell_angle_beta 106.44
_cell_angle_gamma 90.00
loop_
_atom_site_label
_atom_site_fract_x
_atom_site_fract_y
_atom_site_fract_z
Ac1 0.032 0.000 0.293
Ac2 0.103 0.500 0.997
Ac3 0.178 0.500 0.442
Ac4 0.214 0.000 0.832
Se1 0.039 0.500 0.258
Se2 0.089 0.000 0.976
Se3 0.175 0.000 0.477
Se4 0.201 0.500 0.820
N1 0.000 0.000 0.500
N2 0.191 0.500 0.202
```

=====

No. 3
For Ca4As2P, the GGA-PBE geometry in Alexandria gives the simulated powder diffraction line list in this record (Cu Kα).

Top 6 peaks for 15 to 90 degrees two-theta, by angle:
d/Å  I_rel  (hkl)
3.238  100  2 2 0
2.968  90  1 0 3
2.491  29  2 1 3
2.453  63  3 2 1
2.290  47  4 0 0
1.974  32  3 2 3

Structural model:
```
data_Ca4As2P
_space_group_name_H-M_alt 'I 41/a m d'
_space_group_IT_number 141
_cell_length_a 9.160
_cell_length_b 9.160
_cell_length_c 9.413
_cell_angle_alpha 90.00
_cell_angle_beta 90.00
_cell_angle_gamma 90.00
loop_
_space_group_symop_operation_xyz
'x,y,z'
'-x,-y,-z'
'-y+1/4,x+3/4,z+1/4'
'y+1/4,-x+3/4,-z+1/4'
'-x+1/2,-y,z+1/2'
'x+1/2,y,-z+1/2'
'y+1/4,-x+1/4,z+3/4'
'-y+1/4,x+1/4,-z+3/4'
'x,-y,-z'
'-x,y,z'
'-y+1/4,-x+1/4,-z+3/4'
'y+1/4,x+1/4,z+3/4'
'-x+1/2,y,-z+1/2'
'x+1/2,-y,z+1/2'
'y+1/4,x+3/4,-z+1/4'
'-y+1/4,-x+3/4,z+1/4'
'x+1/2,y+1/2,z+1/2'
'-x+1/2,-y+1/2,-z+1/2'
'-y+3/4,x+1/4,z+3/4'
'y+3/4,-x+1/4,-z+3/4'
'-x,-y+1/2,z'
'x,y+1/2,-z'
'y+3/4,-x+3/4,z+1/4'
'-y+3/4,x+3/4,-z+1/4'
'x+1/2,-y+1/2,-z+1/2'
'-x+1/2,y+1/2,z+1/2'
'-y+3/4,-x+3/4,-z+1/4'
'y+3/4,x+3/4,z+1/4'
'-x,y+1/2,-z'
'x,-y+1/2,z'
'y+3/4,x+1/4,-z+3/4'
'-y+3/4,-x+1/4,z+3/4'
loop_
_atom_site_label
_atom_site_fract_x
_atom_site_fract_y
_atom_site_fract_z
Ca1 0.000 0.058 0.192
As1 0.000 0.000 0.500
P1 0.000 0.250 0.875
```